[1]
This entry pairs a crystal structure of Li5TaO5 with its calculated powder diffractogram. Radiation: Cu Kα X-rays. Structure: a DFT-relaxed cell (PBE, Alexandria).

Crystal structure
```
Li5TaO5
1.0
2.8688 -4.6710 0.0000
2.8688 4.6710 0.0000
-2.2812 0.0000 8.8086
Li Ta O
10 2 10
direct
0.0456 0.2735 0.5423 Li
0.1704 0.8296 0.7500 Li
0.2008 0.5486 0.9392 Li
0.2735 0.0456 0.0423 Li
0.4514 0.7992 0.5608 Li
0.5486 0.2008 0.4392 Li
0.7265 0.9544 0.9577 Li
0.7992 0.4514 0.0608 Li
0.8296 0.1704 0.2500 Li
0.9544 0.7265 0.4577 Li
0.4121 0.5879 0.2500 Ta
0.5879 0.4121 0.7500 Ta
0.0759 0.3001 0.0889 O
0.1722 0.5113 0.3928 O
0.3001 0.0759 0.5889 O
0.3865 0.6135 0.7500 O
0.4887 0.8278 0.1072 O
0.5113 0.1722 0.8928 O
0.6135 0.3865 0.2500 O
0.6999 0.9241 0.4111 O
0.8278 0.4887 0.6072 O
0.9241 0.6999 0.9111 O
```

The 10 most intense peaks (2θ = 10–90°), in order of rising 2θ:
4.774 Å, I 100; 4.637 Å, I 22; 4.404 Å, I 41; 4.127 Å, I 87; 3.653 Å, I 63; 2.937 Å, I 28; 2.779 Å, I 17; 2.690 Å, I 28; 2.188 Å, I 22; 2.121 Å, I 18



[2]
This entry pairs a crystal structure of La6Mg23P with its calculated powder diffractogram. Radiation: Cu Kα X-rays. Structure: a DFT-relaxed cell (PBE, Alexandria).

Crystal structure
```
La6Mg23P
1.0
0.0000 7.3081 7.3081
7.3081 0.0000 7.3081
7.3081 7.3081 0.0000
La Mg P
6 23 1
direct
0.2010 0.2010 0.7990 La
0.2010 0.7990 0.2010 La
0.2010 0.7990 0.7990 La
0.7990 0.2010 0.2010 La
0.7990 0.2010 0.7990 La
0.7990 0.7990 0.2010 La
0.0000 0.0000 0.5000 Mg
0.0000 0.5000 0.0000 Mg
0.0000 0.5000 0.5000 Mg
0.1347 0.6218 0.6218 Mg
0.1717 0.1717 0.1717 Mg
0.1717 0.1717 0.4848 Mg
0.1717 0.4848 0.1717 Mg
0.3782 0.3782 0.3782 Mg
0.3782 0.3782 0.8653 Mg
0.3782 0.8653 0.3782 Mg
0.4848 0.1717 0.1717 Mg
0.5000 0.0000 0.0000 Mg
0.5000 0.0000 0.5000 Mg
0.5000 0.5000 0.0000 Mg
0.5000 0.5000 0.5000 Mg
0.5152 0.8283 0.8283 Mg
0.6218 0.1347 0.6218 Mg
0.6218 0.6218 0.1347 Mg
0.6218 0.6218 0.6218 Mg
0.8283 0.5152 0.8283 Mg
0.8283 0.8283 0.5152 Mg
0.8283 0.8283 0.8283 Mg
0.8653 0.3782 0.3782 Mg
0.0000 0.0000 0.0000 P
```

The 10 most intense peaks (2θ = 10–90°), in order of rising 2θ:
8.439 Å, I 33; 7.308 Å, I 22; 4.219 Å, I 43; 3.654 Å, I 30; 3.353 Å, I 31; 2.984 Å, I 32; 2.813 Å, I 100; 2.584 Å, I 62; 2.047 Å, I 27; 1.723 Å, I 31